Structure and theoretical powder diffractogram of Ta5S8 (a PBE-relaxed structure; λ = 1.5418 Å (Cu Kα)).

Most intense lines, 2θ = 10–90°, low angle first:
h k l	two_theta	Rel. int.
4 0 0	13.5	100
8 0 0	27.3	25
2 0 -2	30.9	26
1 1 -1	31.4	54
6 0 -2	34.2	31
6 0 2	41.3	23
7 1 1	41.8	48
10 0 -2	42.1	23
9 1 -1	42.3	39
3 1 -3	55.3	24

Structure:
```
data_Ta5S8
_chemical_formula_sum 'Ta10 S16'
_cell_length_a 26.699
_cell_length_b 3.275
_cell_length_c 5.786
_cell_angle_alpha 90.00
_cell_angle_beta 101.40
_cell_angle_gamma 90.00
_symmetry_space_group_name_H-M 'C 1 2/m 1'
_symmetry_Int_Tables_number 12
loop_
_symmetry_equiv_pos_as_xyz
'x,y,z'
'-x,-y,-z'
'-x,y,-z'
'x,-y,z'
'x+1/2,y+1/2,z'
'-x+1/2,-y+1/2,-z'
'-x+1/2,y+1/2,-z'
'x+1/2,-y+1/2,z'
loop_
_atom_site_label
_atom_site_type_symbol
_atom_site_fract_x
_atom_site_fract_y
_atom_site_fract_z
Ta1 Ta 0.000 0.000 0.000
Ta2 Ta 0.123 0.500 0.633
Ta3 Ta 0.124 0.000 0.126
S1 S 0.061 0.500 0.244
S2 S 0.062 0.000 0.739
S3 S 0.183 0.500 0.351
S4 S 0.184 0.000 0.851
```



Structure and theoretical powder diffractogram of TaS2 (a PBE-relaxed structure; λ = 1.5418 Å (Cu Kα)).

Most intense lines, 2θ = 10–90°, low angle first:
h k l	two_theta	Rel. int.
0 0 4	13.5	100
1 0 0	30.7	27
1 0 4	33.7	62
1 0 8	41.6	50
1 0 12	52.5	20
1 1 0	54.7	15
1 1 4	56.6	16
2 0 4	65.8	9
2 0 8	70.9	17
1 1 16	82.3	9

Structure:
```
data_TaS2
_chemical_formula_sum 'Ta4 S8'
_cell_length_a 3.3580
_cell_length_b 3.3580
_cell_length_c 26.1506
_cell_angle_alpha 90.00
_cell_angle_beta 90.00
_cell_angle_gamma 120.00
_symmetry_space_group_name_H-M 'P 63/m m c'
_symmetry_Int_Tables_number 194
_symmetry_space_group_name_Hall '-P 6c 2c'
loop_
_atom_site_label
_atom_site_type_symbol
_atom_site_fract_x
_atom_site_fract_y
_atom_site_fract_z
Ta1 Ta 0.0000 0.0000 0.0000
Ta2 Ta 0.0000 0.0000 0.2500
S1 S 0.3333 0.6667 0.0590
S2 S 0.3333 0.6667 0.6905
```